Record 1
The following is a computed powder diffractogram of Pm7Tl2Zn. It was derived from a cell relaxed with PBE, using Cu Kα (weighted mean of Kα1 and Kα2).

Main lines, by angle (5° ≤ 2θ ≤ 70°):
2θ/deg  I/Imax
15.94  4
22.62  22
26.59  2
27.79  98
32.20  100
39.71  11
46.18  74
52.02  5
54.76  45
57.42  26
62.51  6
67.37  12

Crystal structure
Lattice parameters (Å, degrees): 7.862 7.862 7.862 60.00 60.00 60.00
Fractional coordinates of all 10 atoms:
Pm (0.000, 0.000, 0.000)
Pm (0.255, 0.255, 0.745)
Pm (0.255, 0.745, 0.255)
Pm (0.255, 0.745, 0.745)
Pm (0.745, 0.255, 0.255)
Pm (0.745, 0.255, 0.745)
Pm (0.745, 0.745, 0.255)
Tl (0.250, 0.250, 0.250)
Tl (0.750, 0.750, 0.750)
Zn (0.500, 0.500, 0.500)

***

Record 2
The following is a computed powder diffractogram of Pm3Tl3Zn2. It was derived from a cell relaxed with PBE, using Cu Kα (weighted mean of Kα1 and Kα2).

Main lines, by angle (5° ≤ 2θ ≤ 70°):
2θ/deg  I/Imax
26.74  14
30.30  25
30.78  100
31.37  29
34.92  44
38.17  36
38.53  38
43.35  16
50.49  15
59.37  12
60.14  16
62.98  14

Crystal structure
Lattice parameters (Å, degrees): 6.164 6.164 15.701 90.00 90.00 135.44
Fractional coordinates of all 16 atoms:
Pm (0.083, 0.917, 0.611)
Pm (0.083, 0.917, 0.889)
Pm (0.355, 0.645, 0.750)
Pm (0.645, 0.355, 0.250)
Pm (0.917, 0.083, 0.111)
Pm (0.917, 0.083, 0.389)
Tl (0.359, 0.641, 0.250)
Tl (0.374, 0.626, 0.537)
Tl (0.374, 0.626, 0.963)
Tl (0.626, 0.374, 0.037)
Tl (0.626, 0.374, 0.463)
Tl (0.641, 0.359, 0.750)
Zn (0.208, 0.792, 0.109)
Zn (0.208, 0.792, 0.391)
Zn (0.792, 0.208, 0.609)
Zn (0.792, 0.208, 0.891)

***

Record 3
The following is a computed powder diffractogram of Pm3Tm. It was derived from a cell relaxed with PBE, using Cu Kα (weighted mean of Kα1 and Kα2).

Main lines, by angle (5° ≤ 2θ ≤ 70°):
2θ/deg  I/Imax
30.33  100
35.16  51
50.58  36
60.08  29
60.19  14
63.09  12

Crystal structure
Lattice parameters (Å, degrees): 6.247 6.247 6.247 131.73 131.73 70.66
Fractional coordinates of all 4 atoms:
Pm (0.000, 0.000, 0.000)
Pm (0.250, 0.750, 0.500)
Pm (0.750, 0.250, 0.500)
Tm (0.500, 0.500, 0.000)